# 1
The following is a calculated PXRD pattern of Zr2ScCu6. It was derived from DFT lattice parameters and positions (GGA-PBE), using a wavelength of 1.5418 Å.
Peak positions follow from Bragg's law for the DFT cell and can differ from measured ones.

Main lines, in order of rising 2θ (5 to 70 degrees two-theta):
- d = 2.451 Å, I 47
- d = 2.386 Å, I 71
- d = 2.369 Å, I 23
- d = 2.177 Å, I 100
- d = 1.798 Å, I 13
- d = 1.704 Å, I 9
- d = 1.527 Å, I 9
- d = 1.519 Å, I 15
- d = 1.503 Å, I 15
- d = 1.368 Å, I 21

Cell and atoms:
Cell lengths 5.472, 5.472, 5.522 Å; angles 90.00, 90.00, 120.00 degrees
Fractional positions:
Zr1 0.333 0.667 0.367
Zr2 0.667 0.333 0.633
Sc1 0.000 0.000 0.500
Cu1 0.184 0.368 0.844
Cu2 0.184 0.816 0.844
Cu3 0.368 0.184 0.156
Cu4 0.632 0.816 0.844
Cu5 0.816 0.184 0.156
Cu6 0.816 0.632 0.156

# 2
The following is a calculated PXRD pattern of ThFe13. It was derived from DFT lattice parameters and positions (GGA-PBE), using a wavelength of 1.5418 Å.
Peak positions follow from Bragg's law for the DFT cell and can differ from measured ones.

Main lines, in order of rising 2θ (5 to 70 degrees two-theta):
- d = 4.060 Å, I 23
- d = 3.315 Å, I 22
- d = 2.871 Å, I 16
- d = 2.567 Å, I 66
- d = 2.344 Å, I 100
- d = 1.941 Å, I 68
- d = 1.815 Å, I 28
- d = 1.592 Å, I 19
- d = 1.534 Å, I 27
- d = 1.392 Å, I 22

Cell and atoms:
Cell lengths 8.119, 8.119, 8.119 Å; angles 60.00, 60.00, 60.00 degrees
Fractional positions:
Th1 0.250 0.250 0.250
Th2 0.750 0.750 0.750
Fe1 0.000 0.000 0.000
Fe2 0.064 0.297 0.703
Fe3 0.064 0.703 0.936
Fe4 0.064 0.936 0.297
Fe5 0.203 0.436 0.797
Fe6 0.203 0.564 0.436
Fe7 0.203 0.797 0.564
Fe8 0.297 0.064 0.936
Fe9 0.297 0.703 0.064
Fe10 0.297 0.936 0.703
Fe11 0.436 0.203 0.564
Fe12 0.436 0.564 0.797
Fe13 0.436 0.797 0.203
Fe14 0.500 0.500 0.500
Fe15 0.564 0.203 0.797
Fe16 0.564 0.436 0.203
Fe17 0.564 0.797 0.436
Fe18 0.703 0.064 0.297
Fe19 0.703 0.297 0.936
Fe20 0.703 0.936 0.064
Fe21 0.797 0.203 0.436
Fe22 0.797 0.436 0.564
Fe23 0.797 0.564 0.203
Fe24 0.936 0.064 0.703
Fe25 0.936 0.297 0.064
Fe26 0.936 0.703 0.297

# 3
The following is a calculated PXRD pattern of KH6I2N2. It was derived from DFT lattice parameters and positions (GGA-PBE), using a wavelength of 1.5418 Å.
Peak positions follow from Bragg's law for the DFT cell and can differ from measured ones.

Main lines, in order of rising 2θ (5 to 70 degrees two-theta):
- d = 5.932 Å, I 52
- d = 5.848 Å, I 52
- d = 5.406 Å, I 100
- d = 3.511 Å, I 47
- d = 3.227 Å, I 23
- d = 3.208 Å, I 24
- d = 3.186 Å, I 21
- d = 3.085 Å, I 33
- d = 2.966 Å, I 23
- d = 2.345 Å, I 27

Cell and atoms:
Cell lengths 6.545, 6.592, 6.834 Å; angles 108.18, 108.21, 102.07 degrees
Fractional positions:
K1 0.000 0.000 0.000
H1 0.022 0.491 0.762
H2 0.252 0.652 0.765
H3 0.259 0.621 0.996
H4 0.741 0.379 0.004
H5 0.748 0.348 0.235
H6 0.978 0.509 0.238
I1 0.498 0.748 0.493
I2 0.502 0.252 0.507
N1 0.158 0.639 0.858
N2 0.842 0.361 0.142

# 4
The following is a calculated PXRD pattern of Ca9Cd3N2. It was derived from DFT lattice parameters and positions (GGA-PBE), using a wavelength of 1.5418 Å.
Peak positions follow from Bragg's law for the DFT cell and can differ from measured ones.

Main lines, in order of rising 2θ (5 to 70 degrees two-theta):
- d = 5.039 Å, I 27
- d = 3.571 Å, I 22
- d = 3.555 Å, I 21
- d = 2.923 Å, I 33
- d = 2.905 Å, I 100
- d = 2.519 Å, I 77
- d = 2.054 Å, I 14
- d = 1.786 Å, I 24
- d = 1.777 Å, I 25
- d = 1.519 Å, I 24

Cell and atoms:
Cell lengths 7.109, 7.109, 8.768 Å; angles 90.00, 90.00, 120.00 degrees
Fractional positions:
Ca1 0.000 0.500 0.000
Ca2 0.175 0.350 0.682
Ca3 0.175 0.825 0.682
Ca4 0.350 0.175 0.318
Ca5 0.500 0.000 0.000
Ca6 0.500 0.500 0.000
Ca7 0.650 0.825 0.682
Ca8 0.825 0.175 0.318
Ca9 0.825 0.650 0.318
Cd1 0.000 0.000 0.000
Cd2 0.333 0.667 0.341
Cd3 0.667 0.333 0.659
N1 0.333 0.667 0.833
N2 0.667 0.333 0.167